[1]
Calculated powder XRD pattern
Compound: PrTiAlRh2
Radiation: copper Kα
Structure: a DFT-relaxed cell (GGA-PBE, Alexandria)

The 8 most intense peaks (2θ = 15–90°), low angle first:
| two_theta | I (rel.) |
| --- | --- |
| 30.90 | 57 |
| 31.99 | 100 |
| 34.71 | 58 |
| 44.27 | 49 |
| 45.22 | 52 |
| 55.65 | 41 |
| 64.40 | 16 |
| 65.14 | 34 |

Cell lengths 4.092, 4.092, 11.500 Å; angles 90.00, 90.00, 90.00 degrees
Space group I-4m2 (No. 119)
Symmetry-distinct sites (fractional):
1 Pr 0.000 0.000 0.000 x2
2 Ti 0.000 0.500 0.750 x2
3 Al 0.000 0.500 0.250 x2
4 Rh 0.000 0.000 0.381 x4

[2]
Calculated powder XRD pattern
Compound: Pr5Al2Ru3
Radiation: copper Kα
Structure: a DFT-relaxed cell (GGA-PBE, Alexandria)

The 8 most intense peaks (2θ = 15–90°), low angle first:
| two_theta | I (rel.) |
| --- | --- |
| 25.35 | 14 |
| 28.40 | 43 |
| 31.17 | 22 |
| 33.74 | 100 |
| 40.59 | 28 |
| 46.60 | 15 |
| 50.28 | 31 |
| 57.13 | 16 |

Cell lengths 9.939, 9.939, 9.939 Å; angles 90.00, 90.00, 90.00 degrees
Space group I2_13 (No. 199)
Symmetry-distinct sites (fractional):
1 Pr 0.000 0.250 0.435 x12
2 Pr 0.107 0.107 0.107 x8
3 Al 0.205 0.295 0.705 x8
4 Ru 0.000 0.250 0.868 x12

[3]
Calculated powder XRD pattern
Compound: Pr6Al3S14
Radiation: copper Kα
Structure: a DFT-relaxed cell (GGA-PBE, Alexandria)

The 8 most intense peaks (2θ = 15–90°), low angle first:
| two_theta | I (rel.) |
| --- | --- |
| 18.05 | 43 |
| 23.06 | 38 |
| 25.21 | 100 |
| 34.10 | 36 |
| 36.58 | 34 |
| 36.81 | 31 |
| 39.94 | 51 |
| 40.80 | 41 |

Cell lengths 10.1646, 10.1646, 5.9217 Å; angles 90.00, 90.00, 120.00 degrees
Space group P3 (No. 143)
Symmetry-distinct sites (fractional):
1 Pr 0.0344 0.5657 0.0000 x3
2 Pr 0.2966 0.0989 0.4974 x3
3 Al 0.0000 0.0000 0.9177 x1
4 Al 0.3333 0.6667 0.4159 x1
5 Al 0.6667 0.3333 0.2673 x1
6 S 0.0000 0.0000 0.2920 x1
7 S 0.0823 0.8487 0.7705 x3
8 S 0.1847 0.4330 0.2684 x3
9 S 0.3333 0.6667 0.7908 x1
10 S 0.4333 0.1873 0.0401 x3
11 S 0.5171 0.4183 0.4951 x3